(1)
Zn5Fe: simulated PXRD pattern (Cu Kα), based on a DFT-relaxed cell (GGA-PBE, Alexandria).
Neutral-atom scattering factors, no anomalous dispersion.

Structural model:
```
data_Zn5Fe
_cell_length_a 4.419
_cell_length_b 2.666
_cell_length_c 14.239
_cell_angle_alpha 90.00
_cell_angle_beta 90.00
_cell_angle_gamma 90.00
_symmetry_space_group_name_H-M 'A m m 2'
_symmetry_Int_Tables_number 38
_symmetry_space_group_name_Hall 'A 2 -2'
loop_
_atom_site_label
_atom_site_type_symbol
_atom_site_fract_x
_atom_site_fract_y
_atom_site_fract_z
Zn1 Zn 0.000 0.000 0.000
Zn2 Zn 0.000 0.000 0.320
Zn3 Zn 0.500 0.000 0.212
Zn4 Zn 0.500 0.000 0.554
Zn5 Zn 0.500 0.000 0.884
Fe1 Fe 0.000 0.000 0.659
```

Peak list (12 most intense, 15° ≤ 2θ ≤ 90°, by angle)
2θ/deg  I_rel
37.91  11.7
38.74  25.9
40.84  42.6
43.27  53.7
44.02  100.0
57.56  15.3
69.03  15.3
76.05  9.1
76.58  17.4
83.43  17.4
84.99  9.0
86.62  12.8

***

(2)
Rb2DyCl5: simulated PXRD pattern (Cu Kα), based on a DFT-relaxed cell (GGA-PBE, Alexandria).
Neutral-atom scattering factors, no anomalous dispersion.

Structural model:
```
data_Rb2DyCl5
_cell_length_a 13.355
_cell_length_b 8.789
_cell_length_c 8.353
_cell_angle_alpha 90.00
_cell_angle_beta 90.00
_cell_angle_gamma 90.00
_symmetry_space_group_name_H-M 'P n m a'
_symmetry_Int_Tables_number 62
_symmetry_space_group_name_Hall '-P 2ac 2n'
loop_
_atom_site_label
_atom_site_type_symbol
_atom_site_fract_x
_atom_site_fract_y
_atom_site_fract_z
Rb1 Rb 0.170 0.007 0.068
Dy1 Dy 0.005 0.250 0.569
Cl1 Cl 0.015 0.250 0.893
Cl2 Cl 0.063 0.545 0.661
Cl3 Cl 0.176 0.250 0.402
Cl4 Cl 0.190 0.750 0.358
```

Peak list (12 most intense, 15° ≤ 2θ ≤ 90°, by angle)
2θ/deg  I_rel
21.28  38.9
22.63  95.5
23.83  100.0
24.25  54.1
28.80  34.6
30.27  65.0
30.55  32.0
32.45  64.9
33.73  56.4
36.43  38.3
41.03  92.2
47.41  26.4

***

(3)
La6Tb4Th: simulated PXRD pattern (Cu Kα), based on a DFT-relaxed cell (GGA-PBE, Alexandria).
Neutral-atom scattering factors, no anomalous dispersion.

Structural model:
```
data_La6Tb4Th
_cell_length_a 5.965
_cell_length_b 9.848
_cell_length_c 26.244
_cell_angle_alpha 90.00
_cell_angle_beta 90.00
_cell_angle_gamma 90.00
_symmetry_space_group_name_H-M 'C m c m'
_symmetry_Int_Tables_number 63
_symmetry_space_group_name_Hall '-C 2c 2'
loop_
_atom_site_label
_atom_site_type_symbol
_atom_site_fract_x
_atom_site_fract_y
_atom_site_fract_z
La1 La 0.000 0.000 0.000
La2 La 0.000 0.054 0.250
La3 La 0.000 0.299 0.600
La4 La 0.000 0.380 0.181
Tb1 Tb 0.000 0.046 0.124
Tb2 Tb 0.000 0.349 0.044
Th1 Th 0.000 0.289 0.750
```

Peak list (12 most intense, 15° ≤ 2θ ≤ 90°, by angle)
2θ/deg  I_rel
27.24  14.7
29.57  51.5
29.96  100.0
31.10  59.2
31.29  42.6
32.45  41.5
42.88  32.0
52.95  10.2
53.91  12.6
54.82  17.5
55.96  10.6
70.63  12.8